1.
Structure and calculated powder XRD pattern of Tl3MoPd12 (a crystal structure in Alexandria, relaxed with GGA-PBE; Cu Kα X-rays).
Intensities are scaled so that the largest is 100.

Largest 12 diffraction maxima, in order of falling intensity, 2θ from 15° to 90°:
2theta  intensity
38.5  100
45.1  33
78.8  25
64.9  20
44.1  16
65.7  11
77.4  11
82.6  10
22.1  3
31.1  3
21.7  2
35.6  2

Structural model:
a = 4.0200 Å, b = 4.0200 Å, c = 16.4146 Å
α = 90.00°, β = 90.00°, γ = 90.00°
Positions (direct):
Tl  0.0000  0.0000  0.0000
Tl  0.0000  0.0000  0.2514
Tl  0.0000  0.0000  0.7486
Mo  0.0000  0.0000  0.5000
Pd  0.0000  0.5000  0.1277
Pd  0.0000  0.5000  0.3864
Pd  0.0000  0.5000  0.6136
Pd  0.0000  0.5000  0.8723
Pd  0.5000  0.0000  0.1277
Pd  0.5000  0.0000  0.3864
Pd  0.5000  0.0000  0.6136
Pd  0.5000  0.0000  0.8723
Pd  0.5000  0.5000  0.0000
Pd  0.5000  0.5000  0.2582
Pd  0.5000  0.5000  0.5000
Pd  0.5000  0.5000  0.7418

---

2.
Structure and calculated powder XRD pattern of VMoPd5 (a crystal structure in Alexandria, relaxed with GGA-PBE; Cu Kα X-rays).
Intensities are scaled so that the largest is 100.

Largest 12 diffraction maxima, in order of falling intensity, 2θ from 15° to 90°:
2theta  intensity
42.0  100
40.5  96
41.0  91
43.2  71
42.1  68
40.2  56
40.3  44
39.9  41
45.3  38
38.6  37
28.7  31
29.6  28

Structural model:
a = 5.2981 Å, b = 5.2981 Å, c = 9.4705 Å
α = 98.58°, β = 98.58°, γ = 58.27°
Positions (direct):
V  0.0000  0.0000  0.0000
V  0.0000  0.0000  0.5000
Mo  0.2994  0.7006  0.7500
Mo  0.7006  0.2994  0.2500
Pd  0.1681  0.2940  0.1811
Pd  0.2098  0.7902  0.2500
Pd  0.2940  0.1681  0.6811
Pd  0.2958  0.4172  0.4598
Pd  0.4172  0.2958  0.9598
Pd  0.5828  0.7042  0.0402
Pd  0.7042  0.5828  0.5402
Pd  0.7060  0.8319  0.3189
Pd  0.7902  0.2098  0.7500
Pd  0.8319  0.7060  0.8189